For La2YTh3Te6, a PBE-relaxed structure gives the theoretical powder XRD pattern in this record (Cu Kα).
Lines closer than 0.1° are merged.

Principal peaks in the range 2θ from 10° to 80°, in order of falling intensity:
- hkl 1 1 -2, 28.16 deg, I = 100.0
- hkl 7 1 -2, 39.23 deg, I = 27.4
- hkl 5 1 2, 41.23 deg, I = 23.6
- hkl 6 2 0, 50.30 deg, I = 13.6
- hkl 2 0 -4, 39.68 deg, I = 13.3
- hkl 2 2 -4, 58.22 deg, I = 12.9
- hkl 8 2 -4, 64.48 deg, I = 12.8
- hkl 0 2 0, 40.78 deg, I = 12.4
- hkl 4 2 4, 67.31 deg, I = 10.8
- hkl 8 0 -4, 47.65 deg, I = 8.4
- hkl 3 1 -6, 65.11 deg, I = 6.4
- hkl 4 0 4, 51.05 deg, I = 6.3

Atomic structure:
```
data_La2YTh3Te6
_chemical_formula_sum 'La4 Y2 Th6 Te12'
_space_group_name_H-M_alt 'C 1 2/m 1'
_space_group_IT_number 12
_space_group_name_Hall '-C 2y'
_cell_length_a 19.891
_cell_length_b 4.425
_cell_length_c 9.107
_cell_angle_alpha 90.00
_cell_angle_beta 107.12
_cell_angle_gamma 90.00
loop_
_atom_site_label
_atom_site_type_symbol
_atom_site_fract_x
_atom_site_fract_y
_atom_site_fract_z
La1 La 0.166 0.000 0.332
Y1 Y 0.000 0.500 0.000
Th1 Th 0.000 0.500 0.500
Th2 Th 0.171 0.000 0.836
Te1 Te 0.003 0.000 0.760
Te2 Te 0.161 0.500 0.078
Te3 Te 0.167 0.500 0.585
```